Structure and simulated powder diffractogram of V2B2Ir (DFT lattice parameters and positions (GGA-PBE); Cu Kα, 1.54184 Å).
Kinematic intensities with the Lorentz-polarization factor, no thermal factor.

a = 7.2126 Å, b = 9.2934 Å, c = 3.0724 Å
α = 90.00°, β = 90.00°, γ = 90.00°
Element x y z (fractional)
1 V 0.0742 0.1392 0.0000
2 V 0.1872 0.3670 0.5000
3 V 0.3128 0.8670 0.0000
4 V 0.4258 0.6392 0.5000
5 V 0.5742 0.3608 0.5000
6 V 0.6872 0.1330 0.0000
7 V 0.8128 0.6330 0.5000
8 V 0.9258 0.8608 0.0000
9 B 0.1136 0.9600 0.5000
10 B 0.1223 0.7686 0.5000
11 B 0.3777 0.2686 0.0000
12 B 0.3864 0.4600 0.0000
13 B 0.6136 0.5400 0.0000
14 B 0.6223 0.7314 0.0000
15 B 0.8777 0.2314 0.5000
16 B 0.8864 0.0400 0.5000
17 Ir 0.1267 0.6043 0.0000
18 Ir 0.3733 0.1043 0.5000
19 Ir 0.6267 0.8957 0.5000
20 Ir 0.8733 0.3957 0.0000

Most intense lines, 2θ from 10° to 80°, sorted by position:
d [Å]	Position (°2θ)	I_rel
5.698	15.55	45
3.906	22.76	31
2.827	31.65	28
2.704	33.13	20
2.350	38.30	14
2.325	38.73	39
2.135	42.33	21
2.089	43.32	100
1.802	50.66	15
1.795	50.87	15